# Ba2Sr
Calculated powder diffractogram, Cu Kα (λ = 1.5418 Å). Input: the GGA-PBE geometry in Alexandria.

Cell and atoms:
Unit cell a=4.3861 b=6.3076 c=13.2066 alpha=90.00 beta=90.00 gamma=90.00
Space group Immm (No. 71)
One atom of each set of equivalent atoms:
Ba 0.0000 0.0000 0.1657 x4
Sr 0.0000 0.0000 0.5000 x2

Most intense lines, 10° ≤ 2θ ≤ 90°, in order of rising 2θ:
d (Å)	two_theta	I/Imax
3.606	24.69	100
3.154	28.29	19
3.107	28.73	34
2.213	40.77	26
1.897	47.97	16
1.878	48.47	16
1.874	48.57	16
1.805	50.57	7
1.801	50.70	7
1.436	64.96	13